(1)
# LiAc8Rh4
Simulated X-ray diffraction stick pattern, Cu Kα X-rays. Input: a PBE-relaxed structure.
Intensities are scaled so that the largest is 100.

Crystal structure
```
data_LiAc8Rh4
_space_group_name_H-M_alt 'C 1 m 1'
_space_group_IT_number 8
_space_group_name_Hall 'C -2y'
_cell_length_a 20.842
_cell_length_b 4.363
_cell_length_c 14.185
_cell_angle_alpha 90.00
_cell_angle_beta 130.84
_cell_angle_gamma 90.00
loop_
_atom_site_label
_atom_site_fract_x
_atom_site_fract_y
_atom_site_fract_z
Li1 0.000 0.000 0.000
Ac1 0.041 0.000 0.741
Ac2 0.132 0.500 0.590
Ac3 0.165 0.500 0.337
Ac4 0.206 0.500 0.072
Ac5 0.294 0.000 0.928
Ac6 0.335 0.000 0.663
Ac7 0.368 0.000 0.410
Ac8 0.459 0.500 0.260
Rh1 0.146 0.000 0.460
Rh2 0.164 0.500 0.827
Rh3 0.336 0.000 0.173
Rh4 0.355 0.500 0.540
```

Main lines, most intense first (10° ≤ 2θ ≤ 90°):
2θ/deg	I_rel	h k l
26.6	100	3 1 0
27.8	89	3 1 -3
43.0	65	1 1 4
27.2	47	2 0 -4
25.8	44	6 0 -3
28.8	42	4 0 1
12.5	36	2 0 -2
41.4	36	0 2 0


(2)
# LiCd3B
Simulated X-ray diffraction stick pattern, Cu Kα X-rays. Input: a PBE-relaxed structure.
Intensities are scaled so that the largest is 100.

Crystal structure
```
data_LiCd3B
_space_group_name_H-M_alt 'P m -3 m'
_space_group_IT_number 221
_space_group_name_Hall '-P 4 2 3'
_cell_length_a 4.610
_cell_length_b 4.610
_cell_length_c 4.610
_cell_angle_alpha 90.00
_cell_angle_beta 90.00
_cell_angle_gamma 90.00
loop_
_atom_site_label
_atom_site_fract_x
_atom_site_fract_y
_atom_site_fract_z
Li1 0.000 0.000 0.000
Cd1 0.000 0.500 0.500
B1 0.500 0.500 0.500
```

Main lines, most intense first (10° ≤ 2θ ≤ 90°):
2θ/deg	I_rel	h k l
33.7	100	1 1 1
39.1	54	2 0 0
67.4	37	3 1 1
19.3	37	1 0 0
56.5	35	2 2 0
27.4	23	1 1 0
43.9	17	2 1 0
70.8	12	2 2 2